(1)
This entry pairs a crystal structure of Sr3YB3O9 with its computed powder diffraction line list. Radiation: a wavelength of 1.5418 Å. Structure: DFT lattice parameters and positions (GGA-PBE).
Peak positions follow from Bragg's law for the DFT cell and can differ from measured ones.

```
Sr3YB3O9
1.0
6.289 3.631 3.176
-6.289 3.631 3.176
0.000 -7.262 3.176
Sr Y B O
6 2 6 18
Direct
0.139 0.265 0.640
0.265 0.640 0.139
0.360 0.861 0.735
0.640 0.139 0.265
0.735 0.360 0.861
0.861 0.735 0.360
0.000 0.000 0.000
0.500 0.500 0.500
0.040 0.389 0.292
0.292 0.040 0.389
0.389 0.292 0.040
0.611 0.708 0.960
0.708 0.960 0.611
0.960 0.611 0.708
0.032 0.803 0.748
0.045 0.522 0.812
0.188 0.955 0.478
0.197 0.252 0.968
0.205 0.493 0.445
0.252 0.968 0.197
0.445 0.205 0.493
0.478 0.188 0.955
0.493 0.445 0.205
0.507 0.555 0.795
0.522 0.812 0.045
0.555 0.795 0.507
0.748 0.032 0.803
0.795 0.507 0.555
0.803 0.748 0.032
0.812 0.045 0.522
0.955 0.478 0.188
0.968 0.197 0.252
```

Most intense lines, 2θ = 15–90°, most intense first:
2θ 28.66, I = 100; 2θ 31.05, I = 39; 2θ 23.54, I = 33; 2θ 43.91, I = 32; 2θ 35.17, I = 28; 2θ 47.79, I = 21; 2θ 37.85, I = 20; 2θ 52.46, I = 18; 2θ 50.42, I = 18; 2θ 37.19, I = 16


(2)
This entry pairs a crystal structure of Sr2ZnBO4 with its computed powder diffraction line list. Radiation: a wavelength of 1.5418 Å. Structure: DFT lattice parameters and positions (GGA-PBE).
Peak positions follow from Bragg's law for the DFT cell and can differ from measured ones.

```
Sr2ZnBO4
1.0
0.000 4.864 12.979
2.385 0.000 12.979
2.385 4.864 0.000
Sr Zn B O
4 2 2 8
Direct
0.069 0.069 0.681
0.319 0.319 0.931
0.681 0.681 0.069
0.931 0.931 0.319
0.125 0.125 0.125
0.875 0.875 0.875
0.375 0.375 0.375
0.625 0.625 0.625
0.064 0.624 0.493
0.319 0.493 0.624
0.376 0.936 0.681
0.493 0.319 0.064
0.507 0.681 0.936
0.624 0.064 0.319
0.681 0.507 0.376
0.936 0.376 0.507
```

Most intense lines, 2θ = 15–90°, most intense first:
2θ 26.99, I = 100; 2θ 37.76, I = 92; 2θ 27.59, I = 85; 2θ 39.34, I = 54; 2θ 42.20, I = 47; 2θ 21.02, I = 42; 2θ 43.80, I = 35; 2θ 23.17, I = 33; 2θ 33.60, I = 31; 2θ 52.08, I = 28


(3)
This entry pairs a crystal structure of TbBO3 with its computed powder diffraction line list. Radiation: a wavelength of 1.5418 Å. Structure: DFT lattice parameters and positions (GGA-PBE).
Peak positions follow from Bragg's law for the DFT cell and can differ from measured ones.

```
TbBO3
1.0
3.488 0.000 0.000
0.000 6.863 0.000
0.000 0.000 5.092
Tb B O
2 2 6
Direct
0.250 0.250 0.104
0.750 0.750 0.896
0.250 0.750 0.339
0.750 0.250 0.661
0.250 0.585 0.180
0.250 0.750 0.607
0.250 0.915 0.180
0.750 0.085 0.820
0.750 0.250 0.393
0.750 0.415 0.820
```

Most intense lines, 2θ = 15–90°, most intense first:
2θ 17.42, I = 100; 2θ 33.77, I = 98; 2θ 25.97, I = 74; 2θ 21.73, I = 54; 2θ 28.71, I = 52; 2θ 31.08, I = 51; 2θ 44.03, I = 44; 2θ 51.00, I = 39; 2θ 51.83, I = 36; 2θ 37.68, I = 34


(4)
This entry pairs a crystal structure of Tb2B2O7 with its computed powder diffraction line list. Radiation: a wavelength of 1.5418 Å. Structure: DFT lattice parameters and positions (GGA-PBE).
Peak positions follow from Bragg's law for the DFT cell and can differ from measured ones.

```
Tb2B2O7
1.0
3.354 -4.495 0.000
3.354 4.495 0.000
-1.783 0.000 4.367
Tb B O
2 2 7
Direct
0.201 0.799 0.000
0.799 0.201 0.000
0.246 0.246 0.635
0.754 0.754 0.365
0.102 0.372 0.777
0.187 0.187 0.313
0.372 0.102 0.777
0.500 0.500 0.500
0.628 0.898 0.223
0.813 0.813 0.687
0.898 0.628 0.223
```

Most intense lines, 2θ = 15–90°, most intense first:
2θ 28.50, I = 100; 2θ 20.34, I = 100; 2θ 28.28, I = 57; 2θ 33.19, I = 50; 2θ 19.75, I = 49; 2θ 35.13, I = 47; 2θ 42.15, I = 37; 2θ 34.73, I = 35; 2θ 17.36, I = 33; 2θ 40.54, I = 32


(5)
This entry pairs a crystal structure of TbB4O7 with its computed powder diffraction line list. Radiation: a wavelength of 1.5418 Å. Structure: DFT lattice parameters and positions (GGA-PBE).
Peak positions follow from Bragg's law for the DFT cell and can differ from measured ones.

```
TbB4O7
1.0
11.189 0.000 0.000
0.000 4.589 0.000
0.000 0.000 4.208
Tb B O
2 8 14
Direct
0.000 0.166 0.000
0.500 0.834 0.500
0.122 0.667 0.352
0.241 0.823 0.817
0.259 0.177 0.317
0.378 0.333 0.852
0.622 0.333 0.852
0.741 0.177 0.317
0.759 0.823 0.817
0.878 0.667 0.352
0.000 0.693 0.217
0.129 0.754 0.674
0.163 0.381 0.260
0.209 0.892 0.161
0.291 0.108 0.661
0.337 0.619 0.760
0.371 0.246 0.174
0.500 0.307 0.717
0.629 0.246 0.174
0.663 0.619 0.760
0.709 0.108 0.661
0.791 0.892 0.161
0.837 0.381 0.260
0.871 0.754 0.674
```

Most intense lines, 2θ = 15–90°, most intense first:
2θ 22.57, I = 100; 2θ 33.02, I = 79; 2θ 32.05, I = 71; 2θ 15.84, I = 55; 2θ 28.78, I = 48; 2θ 30.89, I = 46; 2θ 20.92, I = 41; 2θ 29.89, I = 35; 2θ 48.00, I = 31; 2θ 48.27, I = 29


(6)
This entry pairs a crystal structure of TbBO3 with its computed powder diffraction line list. Radiation: a wavelength of 1.5418 Å. Structure: DFT lattice parameters and positions (GGA-PBE).
Peak positions follow from Bragg's law for the DFT cell and can differ from measured ones.

```
TbBO3
1.0
2.474 -4.228 0.000
2.474 4.228 0.000
-0.605 0.000 4.953
Tb B O
2 2 6
Direct
0.175 0.825 0.500
0.825 0.175 0.000
0.475 0.530 0.876
0.530 0.475 0.376
0.202 0.361 0.354
0.239 0.625 0.889
0.361 0.202 0.854
0.625 0.239 0.389
0.679 0.709 0.652
0.709 0.679 0.152
```

Most intense lines, 2θ = 15–90°, most intense first:
2θ 26.17, I = 100; 2θ 27.74, I = 79; 2θ 29.10, I = 69; 2θ 36.76, I = 57; 2θ 20.97, I = 44; 2θ 46.72, I = 34; 2θ 36.27, I = 28; 2θ 44.63, I = 27; 2θ 36.60, I = 26; 2θ 50.87, I = 24


(7)
This entry pairs a crystal structure of TbTl3B2O6 with its computed powder diffraction line list. Radiation: a wavelength of 1.5418 Å. Structure: DFT lattice parameters and positions (GGA-PBE).
Peak positions follow from Bragg's law for the DFT cell and can differ from measured ones.

```
TbTl3B2O6
1.0
5.534 0.000 0.000
-2.767 4.793 0.000
0.000 0.000 7.508
Tb Tl B O
1 3 2 6
Direct
0.000 0.000 0.000
0.000 0.000 0.500
0.333 0.667 0.288
0.667 0.333 0.712
0.333 0.667 0.815
0.667 0.333 0.185
0.188 0.377 0.814
0.188 0.812 0.814
0.377 0.188 0.186
0.623 0.812 0.814
0.812 0.188 0.186
0.812 0.623 0.186
```

Most intense lines, 2θ = 15–90°, most intense first:
2θ 30.24, I = 100; 2θ 32.35, I = 70; 2θ 22.00, I = 52; 2θ 44.87, I = 35; 2θ 56.39, I = 31; 2θ 39.47, I = 23; 2θ 59.51, I = 16; 2θ 75.94, I = 15; 2θ 51.92, I = 14; 2θ 57.70, I = 14